# 1
Simulated X-ray powder pattern of RbV4O10 for copper Kα, from a cell relaxed with PBE+U.

The 10 most intense peaks (10 to 90 degrees two-theta), in order of falling intensity:
- d 2.675, 33.5°, rel. 1000
- d 3.254, 27.4°, rel. 879
- d 3.276, 27.2°, rel. 831
- d 4.602, 19.3°, rel. 705
- d 2.953, 30.3°, rel. 597
- d 4.128, 21.5°, rel. 543
- d 1.958, 46.4°, rel. 536
- d 1.866, 48.8°, rel. 453
- d 2.634, 34.0°, rel. 418
- d 2.716, 33.0°, rel. 370

Structural model:
```
15
Lattice="5.872 -1.865 0.000 5.872 1.865 0.000 -1.865 0.000 9.763" Properties=species:S:1:pos:R:3 pbc="T T T"
Rb 0.000 0.000 0.000
V 2.224 0.000 6.413
V 4.165 0.000 3.371
V 5.713 0.000 6.392
V 7.654 0.000 3.350
O 0.248 0.000 6.115
O 2.124 0.000 3.767
O 2.428 0.000 8.034
O 4.339 0.000 1.743
O 3.999 0.000 5.809
O 5.879 0.000 3.954
O 5.539 0.000 8.020
O 7.449 0.000 1.729
O 7.754 0.000 5.996
O 9.630 0.000 3.648
```

# 2
Simulated X-ray powder pattern of RbVO3 for copper Kα, from a cell relaxed with PBE+U.

The 10 most intense peaks (10 to 90 degrees two-theta), in order of falling intensity:
- d 3.294, 27.1°, rel. 1000
- d 2.911, 30.7°, rel. 403
- d 1.747, 52.4°, rel. 160
- d 2.601, 34.5°, rel. 148
- d 3.995, 22.3°, rel. 140
- d 2.749, 32.6°, rel. 135
- d 2.431, 37.0°, rel. 135
- d 2.057, 44.0°, rel. 130
- d 2.571, 34.9°, rel. 119
- d 1.548, 59.7°, rel. 98

Structural model:
```
20
Lattice="5.499 0.000 0.000 0.000 11.626 0.000 0.000 0.000 5.825" Properties=species:S:1:pos:R:3 pbc="T T T"
Rb 0.355 1.191 1.456
Rb 0.355 4.622 4.369
Rb 5.143 7.004 1.456
Rb 5.143 10.435 4.369
V 2.604 7.741 4.369
V 2.604 9.697 1.456
V 2.894 1.928 4.369
V 2.894 3.884 1.456
O 0.935 7.535 4.369
O 0.935 9.904 1.456
O 2.118 0.452 4.369
O 2.118 5.361 1.456
O 2.354 2.906 0.000
O 2.354 2.906 2.913
O 3.145 8.719 0.000
O 3.145 8.719 2.913
O 3.380 6.265 4.369
O 3.380 11.174 1.456
O 4.564 1.722 4.369
O 4.564 4.091 1.456
```